For Ti8BiO7, a GGA-PBE-relaxed structure gives the simulated powder X-ray diffraction pattern in this record (Cu Ka).
Kinematic intensities with the Lorentz-polarization factor, no thermal factor.

Crystal structure
Lattice parameters (Å, degrees): 7.858 16.940 3.037 90.00 90.00 90.00
Space group Cmmm (No. 65)
Symmetry-distinct sites (fractional):
Ti 0.000 0.203 0.000 (multiplicity 4)
Ti 0.174 0.000 0.000 (multiplicity 4)
Ti 0.183 0.329 0.500 (multiplicity 8)
Bi 0.000 0.500 0.500 (multiplicity 2)
O 0.000 0.000 0.500 (multiplicity 2)
O 0.000 0.322 0.000 (multiplicity 4)
O 0.177 0.120 0.000 (multiplicity 8)

Top 6 peaks for 15 to 90 degrees two-theta, low angle first:
31.05 deg, d = 2.880 Å, rel. 34.1
31.69 deg, d = 2.823 Å, rel. 56.8
32.04 deg, d = 2.794 Å, rel. 69.4
37.87 deg, d = 2.376 Å, rel. 50.8
38.96 deg, d = 2.312 Å, rel. 100.0
41.56 deg, d = 2.173 Å, rel. 39.2